Computed powder XRD pattern of Nb3ReMo4 for CuKα, from a GGA-PBE-relaxed structure.
Kinematic intensities with the Lorentz-polarization factor, no thermal factor.

Peak list (8 most intense, 2θ from 10° to 90°, in order of falling intensity)
| 2theta | Rel. int. | hkl |
| --- | --- | --- |
| 39.72 | 100 | 1 1 0 |
| 72.15 | 22 | 2 1 4 |
| 57.52 | 11 | 2 0 0 |
| 71.95 | 11 | 1 1 8 |
| 85.51 | 7 | 2 0 8 |
| 57.23 | 6 | 0 0 8 |
| 85.76 | 4 | 2 2 0 |
| 13.75 | 2 | 0 0 2 |

Structural model:
```
Nb3ReMo4
1.0
3.204 0.000 0.000
0.000 3.204 0.000
0.000 0.000 12.878
Nb Re Mo
3 1 4
Direct
0.000 0.000 0.000 Nb
0.000 0.000 0.252 Nb
0.000 0.000 0.748 Nb
0.000 0.000 0.500 Re
0.500 0.500 0.127 Mo
0.500 0.500 0.380 Mo
0.500 0.500 0.620 Mo
0.500 0.500 0.873 Mo
```